The following is a calculated powder X-ray diffraction pattern of NdV4Cu3O12. It was derived from DFT lattice parameters and positions (PBE+U), using Cu Ka.

Crystal structure
Cell lengths 6.4461, 6.4461, 6.4461 Å; angles 109.47, 109.47, 109.47 degrees
Fractional positions:
Nd 0.0000 0.0000 0.0000
V 0.0000 0.0000 0.5000
V 0.0000 0.5000 0.0000
V 0.5000 0.0000 0.0000
V 0.5000 0.5000 0.5000
Cu 0.0000 0.5000 0.5000
Cu 0.5000 0.0000 0.5000
Cu 0.5000 0.5000 0.0000
O 0.1186 0.2981 0.8205
O 0.1795 0.4776 0.2981
O 0.1795 0.8814 0.7019
O 0.2981 0.1795 0.4776
O 0.2981 0.8205 0.1186
O 0.4776 0.2981 0.1795
O 0.5224 0.7019 0.8205
O 0.7019 0.1795 0.8814
O 0.7019 0.8205 0.5224
O 0.8205 0.1186 0.2981
O 0.8205 0.5224 0.7019
O 0.8814 0.7019 0.1795

Most intense lines, 2θ from 15° to 90°, by angle:
16.85°, rel. 13.2
23.91°, rel. 6.6
34.07°, rel. 100.0
38.24°, rel. 9.1
42.05°, rel. 9.8
45.60°, rel. 9.6
48.95°, rel. 27.5
60.98°, rel. 47.0
71.73°, rel. 13.0
81.85°, rel. 15.7